[1]
Calculated powder XRD pattern
Compound: Cs2TiSi6O15
Radiation: Cu Kα (weighted mean of Kα1 and Kα2)
Structure: the PBE geometry in the Materials Project
Kinematic intensities with the Lorentz-polarization factor, no thermal factor.

Peak list (6 most intense, 5 to 70 degrees two-theta, in order of rising 2θ)
h k l, two_theta, I_rel
0 0 4, 23.96, 100.0
0 2 1, 24.06, 54.5
3 1 -2, 24.19, 44.7
3 1 -3, 26.40, 53.2
2 2 -1, 27.07, 41.4
4 0 0, 28.13, 59.4

Cell lengths 13.190, 7.638, 15.459 Å; angles 90.00, 105.77, 90.00 degrees
Space group Cc (No. 9)
Unique sites:
Cs  0.000  0.129  0.000 (multiplicity 4)
Cs  0.476  0.137  0.175 (multiplicity 4)
Ti  0.220  0.241  0.581 (multiplicity 4)
Si  0.006  0.381  0.428 (multiplicity 4)
Si  0.174  0.055  0.238 (multiplicity 4)
Si  0.208  0.469  0.919 (multiplicity 4)
Si  0.258  0.434  0.232 (multiplicity 4)
Si  0.278  0.069  0.942 (multiplicity 4)
Si  0.440  0.337  0.741 (multiplicity 4)
O  0.052  0.127  0.218 (multiplicity 4)
O  0.069  0.256  0.508 (multiplicity 4)
O  0.080  0.453  0.911 (multiplicity 4)
O  0.173  0.102  0.668 (multiplicity 4)
O  0.197  0.464  0.642 (multiplicity 4)
O  0.210  0.008  0.842 (multiplicity 4)
O  0.212  0.494  0.315 (multiplicity 4)
O  0.242  0.027  0.520 (multiplicity 4)
O  0.248  0.219  0.222 (multiplicity 4)
O  0.262  0.379  0.487 (multiplicity 4)
O  0.265  0.281  0.951 (multiplicity 4)
O  0.366  0.235  0.655 (multiplicity 4)
O  0.387  0.474  0.258 (multiplicity 4)
O  0.404  0.027  0.953 (multiplicity 4)
O  0.460  0.222  0.833 (multiplicity 4)

[2]
Calculated powder XRD pattern
Compound: Cs4U3Si4O17
Radiation: Cu Kα (weighted mean of Kα1 and Kα2)
Structure: the PBE geometry in the Materials Project
Kinematic intensities with the Lorentz-polarization factor, no thermal factor.

Peak list (6 most intense, 5 to 70 degrees two-theta, in order of rising 2θ)
h k l, two_theta, I_rel
1 1 0, 14.07, 56.2
0 2 0, 23.34, 57.5
1 1 -3, 25.21, 100.0
3 1 0, 26.68, 72.7
3 1 -2, 27.04, 32.9
3 3 0, 43.10, 24.3

Cell lengths 11.690, 7.624, 11.970 Å; angles 90.00, 107.45, 90.00 degrees
Space group C2/m (No. 12)
Unique sites:
Cs  0.149  0.000  0.420 (multiplicity 4)
Cs  0.179  0.000  0.018 (multiplicity 4)
U  0.000  0.500  0.500 (multiplicity 2)
U  0.050  0.500  0.187 (multiplicity 4)
Si  0.161  0.206  0.734 (multiplicity 8)
O  0.000  0.500  0.000 (multiplicity 2)
O  0.091  0.299  0.818 (multiplicity 8)
O  0.094  0.500  0.377 (multiplicity 4)
O  0.114  0.000  0.714 (multiplicity 4)
O  0.123  0.298  0.604 (multiplicity 8)
O  0.194  0.295  0.203 (multiplicity 8)

[3]
Calculated powder XRD pattern
Compound: Cs2USi6O15
Radiation: Cu Kα (weighted mean of Kα1 and Kα2)
Structure: the PBE geometry in the Materials Project
Kinematic intensities with the Lorentz-polarization factor, no thermal factor.

Peak list (6 most intense, 5 to 70 degrees two-theta, in order of rising 2θ)
h k l, two_theta, I_rel
0 2 1, 12.47, 66.6
1 3 1, 21.07, 47.8
1 1 3, 23.50, 100.0
2 2 1, 27.16, 77.2
1 1 4, 29.22, 42.2
0 6 1, 33.04, 34.9

Cell lengths 7.406, 16.593, 13.704 Å; angles 90.00, 90.00, 90.00 degrees
Space group Cmc2_1 (No. 36)
Unique sites:
Cs  0.000  0.111  0.000 (multiplicity 4)
Cs  0.000  0.222  0.305 (multiplicity 4)
U  0.000  0.369  0.655 (multiplicity 4)
Si  0.000  0.357  0.924 (multiplicity 4)
Si  0.000  0.453  0.401 (multiplicity 4)
Si  0.205  0.185  0.580 (multiplicity 8)
Si  0.217  0.042  0.730 (multiplicity 8)
O  0.000  0.049  0.756 (multiplicity 4)
O  0.000  0.161  0.544 (multiplicity 4)
O  0.000  0.330  0.811 (multiplicity 4)
O  0.000  0.392  0.492 (multiplicity 4)
O  0.000  0.454  0.939 (multiplicity 4)
O  0.178  0.319  0.979 (multiplicity 8)
O  0.183  0.437  0.335 (multiplicity 8)
O  0.216  0.274  0.626 (multiplicity 8)
O  0.226  0.384  0.157 (multiplicity 8)
O  0.228  0.456  0.686 (multiplicity 8)